1.
For Mg16Si8HO32, a GGA-PBE-relaxed structure gives the simulated PXRD pattern in this record (Cu Ka).

The 10 most intense peaks (2θ = 5–70°), sorted by position:
22.61 deg, I = 64, hkl 1 0 2; 31.97 deg, I = 63, hkl 0 2 3; 35.31 deg, I = 79, hkl 1 2 -3; 36.09 deg, I = 100, hkl 2 2 1; 39.23 deg, I = 46, hkl 2 2 -2; 39.61 deg, I = 31, hkl 0 2 -4; 51.66 deg, I = 70, hkl 2 4 2; 61.14 deg, I = 37, hkl 4 0 0; 61.98 deg, I = 45, hkl 2 0 6; 68.70 deg, I = 23, hkl 2 6 -2

Cell and atoms:
```
data_Mg16Si8HO32
_cell_length_a 6.0621
_cell_length_b 9.6148
_cell_length_c 10.3327
_cell_angle_alpha 89.98
_cell_angle_beta 89.99
_cell_angle_gamma 90.00
_space_group_name_H-M_alt 'P 1'
_space_group_IT_number 1
loop_
_space_group_symop_operation_xyz
'x,y,z'
loop_
_atom_site_label
_atom_site_fract_x
_atom_site_fract_y
_atom_site_fract_z
Mg1 0.0000 0.0000 0.0000
Mg2 0.0000 0.2400 0.4998
Mg3 0.9998 0.4963 0.9993
Mg4 0.0000 0.7385 0.5019
Mg5 0.2499 0.2428 0.2232
Mg6 0.2501 0.4932 0.7221
Mg7 0.2496 0.7439 0.2234
Mg8 0.2496 0.9928 0.7215
Mg9 0.4999 0.2471 0.9447
Mg10 0.4998 0.4893 0.4454
Mg11 0.4997 0.7467 0.9455
Mg12 0.4998 0.9891 0.4458
Mg13 0.7498 0.2429 0.2233
Mg14 0.7497 0.4932 0.7221
Mg15 0.7500 0.7438 0.2235
Mg16 0.7503 0.9929 0.7214
Si1 0.9999 0.2801 0.8154
Si2 0.9998 0.4566 0.3155
Si3 0.9998 0.7800 0.8190
Si4 0.9998 0.9574 0.3194
Si5 0.5000 0.0301 0.1289
Si6 0.5000 0.2061 0.6289
Si7 0.4997 0.5286 0.1308
Si8 0.4999 0.7061 0.6289
H1 0.9980 0.7345 0.0184
O1 0.0000 0.1103 0.8136
O2 0.9999 0.1272 0.3168
O3 0.9999 0.3544 0.6688
O4 0.9998 0.3814 0.1692
O5 0.9999 0.6098 0.8117
O6 0.9998 0.6267 0.3135
O7 0.0000 0.8535 0.6709
O8 0.9999 0.8862 0.1719
O9 0.2165 0.3544 0.8848
O10 0.2165 0.3827 0.3850
O11 0.2165 0.8819 0.3872
O12 0.2197 0.8570 0.8839
O13 0.2834 0.1320 0.5594
O14 0.2836 0.1048 0.0598
O15 0.2837 0.6314 0.5596
O16 0.2849 0.6020 0.0600
O17 0.4999 0.1034 0.2759
O18 0.5000 0.1318 0.7754
O19 0.4998 0.3588 0.1326
O20 0.4999 0.3760 0.6308
O21 0.4998 0.6050 0.2764
O22 0.4998 0.6321 0.7758
O23 0.4999 0.8599 0.1308
O24 0.4999 0.8759 0.6302
O25 0.7144 0.6019 0.0599
O26 0.7165 0.1048 0.0599
O27 0.7163 0.6314 0.5596
O28 0.7166 0.1320 0.5594
O29 0.7797 0.8570 0.8837
O30 0.7833 0.3544 0.8848
O31 0.7831 0.3827 0.3850
O32 0.7831 0.8819 0.3872
```

***

2.
For TlCdBr3, a GGA-PBE-relaxed structure gives the simulated PXRD pattern in this record (Cu Ka).

The 10 most intense peaks (2θ = 5–70°), sorted by position:
19.23 deg, I = 48, hkl 1 0 3; 28.67 deg, I = 100, hkl 2 1 1; 29.25 deg, I = 19, hkl 2 0 4; 29.79 deg, I = 40, hkl 1 0 5; 30.03 deg, I = 20, hkl 3 0 2; 30.35 deg, I = 67, hkl 2 1 2; 35.53 deg, I = 31, hkl 0 1 5; 42.12 deg, I = 25, hkl 3 1 4; 42.86 deg, I = 28, hkl 0 2 0; 46.66 deg, I = 20, hkl 1 1 7

Cell and atoms:
```
data_TlCdBr3
_cell_length_a 9.6402
_cell_length_b 4.2198
_cell_length_c 15.7814
_cell_angle_alpha 90.00
_cell_angle_beta 90.00
_cell_angle_gamma 90.00
_space_group_name_H-M_alt 'P n m a'
_space_group_IT_number 62
loop_
_space_group_symop_operation_xyz
'x,y,z'
'-x,-y,-z'
'-x+1/2,-y,z+1/2'
'x+1/2,y,-z+1/2'
'x+1/2,-y+1/2,-z+1/2'
'-x+1/2,y+1/2,z+1/2'
'-x,y+1/2,-z'
'x,-y+1/2,z'
loop_
_atom_site_label
_atom_site_fract_x
_atom_site_fract_y
_atom_site_fract_z
Tl1 0.0615 0.2500 0.1773
Cd1 0.1677 0.7500 0.4447
Br1 0.0209 0.7500 0.6024
Br2 0.1661 0.7500 0.0062
Br3 0.2125 0.2500 0.7886
```

***

3.
For MgZn2Cu4O8, a GGA-PBE-relaxed structure gives the simulated PXRD pattern in this record (Cu Ka).

The 10 most intense peaks (2θ = 5–70°), sorted by position:
17.51 deg, I = 79, hkl 1 0 0; 33.28 deg, I = 51, hkl 1 -2 0; 34.03 deg, I = 46, hkl -2 1 1; 35.06 deg, I = 94, hkl 0 0 2; 35.44 deg, I = 93, hkl 2 0 0; 36.34 deg, I = 100, hkl 1 -2 2; 39.32 deg, I = 90, hkl 0 2 0; 41.19 deg, I = 98, hkl 2 0 -2; 44.34 deg, I = 79, hkl 2 -2 2; 62.11 deg, I = 40, hkl 0 2 -4

Cell and atoms:
```
data_MgZn2Cu4O8
_cell_length_a 5.9905
_cell_length_b 5.9954
_cell_length_c 6.0013
_cell_angle_alpha 115.58
_cell_angle_beta 93.97
_cell_angle_gamma 116.60
_space_group_name_H-M_alt 'P 1'
_space_group_IT_number 1
loop_
_space_group_symop_operation_xyz
'x,y,z'
loop_
_atom_site_label
_atom_site_fract_x
_atom_site_fract_y
_atom_site_fract_z
Mg1 0.0000 0.0000 0.0000
Zn1 0.0460 0.3134 0.5668
Zn2 0.4937 0.5388 0.1262
Cu1 0.4760 0.0194 0.6258
Cu2 0.4875 0.0190 0.1181
Cu3 0.5533 0.5208 0.6020
Cu4 0.9754 0.5305 0.1386
O1 0.1601 0.4149 0.2933
O2 0.2281 0.5962 0.9502
O3 0.2831 0.1231 0.4711
O4 0.3098 0.0563 0.8804
O5 0.6612 0.9999 0.3802
O6 0.6871 0.9237 0.7693
O7 0.7156 0.4339 0.3074
O8 0.7788 0.6112 0.9542
```

***

4.
For Y3Ag4Sn4, a GGA-PBE-relaxed structure gives the simulated PXRD pattern in this record (Cu Ka).

The 10 most intense peaks (2θ = 5–70°), sorted by position:
31.59 deg, I = 100, hkl 1 2 1; 32.74 deg, I = 59, hkl 1 1 4; 35.20 deg, I = 29, hkl 0 0 6; 35.77 deg, I = 19, hkl 1 2 3; 39.04 deg, I = 42, hkl 2 0 0; 40.69 deg, I = 22, hkl 0 3 3; 43.12 deg, I = 47, hkl 1 2 5; 43.30 deg, I = 25, hkl 1 3 2; 53.57 deg, I = 12, hkl 2 0 6; 57.66 deg, I = 15, hkl 2 3 3

Cell and atoms:
```
data_Y3Ag4Sn4
_cell_length_a 4.6146
_cell_length_b 7.3870
_cell_length_c 15.2952
_cell_angle_alpha 90.00
_cell_angle_beta 90.00
_cell_angle_gamma 90.00
_space_group_name_H-M_alt 'I m m m'
_space_group_IT_number 71
_space_group_name_Hall '-I 2 2'
loop_
_atom_site_label
_atom_site_fract_x
_atom_site_fract_y
_atom_site_fract_z
Y1 0.0000 0.0000 0.0000
Y2 0.0000 0.5000 0.1280
Ag1 0.0000 0.3023 0.3285
Sn1 0.0000 0.0000 0.2142
Sn2 0.0000 0.1956 0.5000
```

***

5.
For GaAgP2Se6, a GGA-PBE-relaxed structure gives the simulated PXRD pattern in this record (Cu Ka).

The 10 most intense peaks (2θ = 5–70°), sorted by position:
11.84 deg, I = 60, hkl 0 0 2; 23.80 deg, I = 14, hkl 0 0 4; 23.92 deg, I = 10, hkl 1 0 3; 30.15 deg, I = 100, hkl 2 -1 2; 34.00 deg, I = 9, hkl 1 0 5; 36.78 deg, I = 49, hkl 2 -1 4; 46.01 deg, I = 29, hkl 1 1 6; 48.86 deg, I = 29, hkl 3 0 0; 58.49 deg, I = 12, hkl 2 2 2; 62.70 deg, I = 11, hkl 2 2 4

Cell and atoms:
```
data_GaAgP2Se6
_cell_length_a 6.4575
_cell_length_b 6.4575
_cell_length_c 14.9520
_cell_angle_alpha 90.00
_cell_angle_beta 90.00
_cell_angle_gamma 120.00
_space_group_name_H-M_alt 'P -3 1 c'
_space_group_IT_number 163
_space_group_name_Hall '-P 3 2c'
loop_
_atom_site_label
_atom_site_fract_x
_atom_site_fract_y
_atom_site_fract_z
Ga1 0.0000 0.0000 0.2500
Ag1 0.3333 0.6667 0.2500
P1 0.3333 0.6667 0.6744
Se1 0.0196 0.3189 0.8659
```